The following is a simulated powder diffractogram of CrMoF5. It was derived from DFT lattice parameters and positions (GGA+U), using Cu Ka.

Crystal structure
```
28
Lattice="5.3624 0.0000 0.0000 0.0000 10.0606 0.0000 -2.5627 0.0000 8.1388" Properties=species:S:1:pos:R:3 pbc="T T T"
Cr -0.4113 2.3048 3.0504
Cr -1.6926 2.7255 7.1198
Cr 4.4923 7.3351 1.0190
Cr 3.2109 7.7558 5.0884
Mo 0.5417 0.1531 6.4852
Mo 1.8231 4.8772 2.4159
Mo 0.9766 5.1833 5.7229
Mo 2.2580 9.9075 1.6535
F 0.1266 6.0394 2.1437
F -1.1548 9.0514 6.2131
F -0.6424 6.4134 5.2230
F 0.6390 8.6775 1.1536
F -0.3454 1.5798 5.2757
F 0.9360 3.4505 1.2063
F -0.6174 1.1536 8.0372
F 0.6640 3.8767 3.9678
F 1.1990 1.0339 2.9875
F -0.0824 3.9963 7.0568
F 2.8820 6.0642 1.0819
F 1.6007 9.0266 5.1513
F 2.1357 6.1839 4.1710
F 3.4170 8.9070 0.1016
F 1.8637 6.6101 6.9325
F 3.1451 8.4807 2.8631
F 2.1607 1.3831 6.9852
F 3.4420 3.6472 2.9158
F 3.9544 1.0092 1.9256
F 2.6731 4.0211 5.9950
```

Main lines, most intense first (5 to 70 degrees two-theta):
2θ = 24.83°, I 1000, hkl 1 2 0; 2θ = 23.57°, I 321, hkl 0 1 2; 2θ = 21.84°, I 298, hkl 0 0 2; 2θ = 50.90°, I 258, hkl 2 2 2; 2θ = 28.21°, I 233, hkl 0 2 2; 2θ = 29.53°, I 230, hkl 1 2 -2; 2θ = 17.34°, I 224, hkl 1 0 0; 2θ = 19.47°, I 180, hkl 1 1 0; 2θ = 14.00°, I 179, hkl 0 1 1; 2θ = 48.66°, I 172, hkl 1 4 2